The following is a simulated powder XRD pattern of Mg5Si9. It was derived from the GGA-PBE geometry in Alexandria, using Cu Ka.
Kinematic intensities with the Lorentz-polarization factor, no thermal factor.

Peak list (10 most intense, 2θ = 10–90°, low angle first)
(1 1 -4), 2θ 34.23, I = 460; (2 -2 1), 2θ 34.92, I = 1000; (0 2 3), 2θ 36.68, I = 588; (1 1 3), 2θ 36.92, I = 388; (1 0 -5), 2θ 37.38, I = 647; (0 2 -4), 2θ 38.09, I = 455; (0 0 5), 2θ 38.19, I = 398; (0 3 0), 2θ 39.50, I = 501; (-2 3 1), 2θ 40.55, I = 523; (2 1 1), 2θ 41.55, I = 376

Cell lengths 6.2425, 7.3737, 12.1963 Å; angles 90.81, 103.61, 111.08 degrees
Sites, in units of the cell vectors:
Mg 0.0000 0.0000 0.0000
Mg 0.0015 0.1489 0.4461
Mg 0.2859 0.9360 0.5961
Mg 0.2929 0.3769 0.2129
Mg 0.3222 0.6164 0.4316
Mg 0.5663 0.2462 0.4648
Mg 0.6165 0.6154 0.8475
Mg 0.7456 0.3039 0.0339
Mg 0.8156 0.6636 0.4074
Mg 0.8474 0.2764 0.7448
Si 0.0066 0.6160 0.2072
Si 0.0570 0.5014 0.5899
Si 0.0713 0.5940 0.9351
Si 0.1787 0.7105 0.7650
Si 0.1804 0.9283 0.3372
Si 0.2983 0.3894 0.9859
Si 0.3109 0.2097 0.8239
Si 0.3549 0.3337 0.6405
Si 0.4011 0.0465 0.1855
Si 0.4229 0.8880 0.0155
Si 0.5232 0.7839 0.2427
Si 0.5523 0.0115 0.8483
Si 0.6599 0.6864 0.0874
Si 0.7017 0.5924 0.6158
Si 0.7165 0.9310 0.5724
Si 0.7813 0.3154 0.2804
Si 0.8897 0.0426 0.2110
Si 0.9381 0.9070 0.7576